This entry pairs a crystal structure of Sr3CuPtO6 with its theoretical PXRD pattern. Radiation: copper Kα. Structure: a structure optimized by DFT (GGA-PBE).
Lines closer than 0.1° are merged.

Atomic structure:
```
data_Sr3CuPtO6
_cell_length_a 9.483
_cell_length_b 9.841
_cell_length_c 6.760
_cell_angle_alpha 90.00
_cell_angle_beta 91.15
_cell_angle_gamma 90.00
_space_group_name_H-M_alt 'C 1 2/c 1'
_space_group_IT_number 15
loop_
_space_group_symop_operation_xyz
'x,y,z'
'-x,-y,-z'
'-x,y,-z+1/2'
'x,-y,z+1/2'
'x+1/2,y+1/2,z'
'-x+1/2,-y+1/2,-z'
'-x+1/2,y+1/2,-z+1/2'
'x+1/2,-y+1/2,z+1/2'
loop_
_atom_site_label
_atom_site_fract_x
_atom_site_fract_y
_atom_site_fract_z
Sr1 0.000 0.098 0.250
Sr2 0.185 0.425 0.377
Cu1 0.000 0.306 0.750
Pt1 0.250 0.250 0.000
O1 0.056 0.338 0.037
O2 0.148 0.070 0.931
O3 0.209 0.313 0.715
```

Top 12 peaks for 10 to 90 degrees two-theta, in order of rising 2θ:
hkl	Position (°2θ)	d/Å	I_rel
1 1 -1	18.3	4.839	44
1 1 1	18.6	4.769	45
2 0 0	18.7	4.741	26
2 2 1	29.5	3.030	40
3 1 0	29.7	3.010	34
1 3 -1	31.7	2.825	100
2 0 -2	32.2	2.780	59
3 1 1	32.8	2.728	21
2 2 2	37.7	2.385	25
3 3 1	42.1	2.148	26
1 1 3	42.4	2.130	24
4 2 -1	44.2	2.048	35

---

This entry pairs a crystal structure of VCl4 with its theoretical PXRD pattern. Radiation: copper Kα. Structure: a structure optimized by DFT (GGA-PBE).
Lines closer than 0.1° are merged.

Atomic structure:
```
data_VCl4
_cell_length_a 10.019
_cell_length_b 6.818
_cell_length_c 10.297
_cell_angle_alpha 90.00
_cell_angle_beta 102.20
_cell_angle_gamma 90.00
_space_group_name_H-M_alt 'P 1 21/c 1'
_space_group_IT_number 14
loop_
_space_group_symop_operation_xyz
'x,y,z'
'-x,-y,-z'
'-x,y+1/2,-z+1/2'
'x,-y+1/2,z+1/2'
loop_
_atom_site_label
_atom_site_fract_x
_atom_site_fract_y
_atom_site_fract_z
V1 0.249 0.076 0.365
Cl1 0.078 0.074 0.200
Cl2 0.195 0.571 0.030
Cl3 0.307 0.128 0.918
Cl4 0.415 0.575 0.806
```

Top 12 peaks for 10 to 90 degrees two-theta, in order of rising 2θ:
hkl	Position (°2θ)	d/Å	I_rel
0 1 1	15.7	5.645	44
1 1 0	15.8	5.595	26
1 1 -1	17.2	5.162	45
2 0 0	18.1	4.907	85
1 1 1	19.1	4.657	36
1 0 2	21.5	4.135	31
2 1 -2	26.1	3.415	100
2 0 2	28.0	3.189	52
1 1 -3	29.3	3.044	47
1 2 1	29.7	3.006	47
3 1 -1	30.0	2.983	36
2 3 -2	46.1	1.970	43

---

This entry pairs a crystal structure of TlCr5S8 with its theoretical PXRD pattern. Radiation: copper Kα. Structure: a structure optimized by DFT (GGA-PBE).
Lines closer than 0.1° are merged.

Atomic structure:
```
data_TlCr5S8
_cell_length_a 18.018
_cell_length_b 3.492
_cell_length_c 8.705
_cell_angle_alpha 90.00
_cell_angle_beta 105.07
_cell_angle_gamma 90.00
_space_group_name_H-M_alt 'C 1 2/m 1'
_space_group_IT_number 12
loop_
_space_group_symop_operation_xyz
'x,y,z'
'-x,-y,-z'
'-x,y,-z'
'x,-y,z'
'x+1/2,y+1/2,z'
'-x+1/2,-y+1/2,-z'
'-x+1/2,y+1/2,-z'
'x+1/2,-y+1/2,z'
loop_
_atom_site_label
_atom_site_fract_x
_atom_site_fract_y
_atom_site_fract_z
Tl1 0.000 0.000 0.000
Cr1 0.000 0.500 0.500
Cr2 0.159 0.000 0.475
Cr3 0.204 0.000 0.835
S1 0.076 0.000 0.650
S2 0.086 0.500 0.329
S3 0.172 0.500 0.989
S4 0.238 0.500 0.656
```

Top 12 peaks for 10 to 90 degrees two-theta, in order of rising 2θ:
hkl	Position (°2θ)	d/Å	I_rel
4 0 -1	20.4	4.352	98
0 0 2	21.1	4.203	58
2 0 2	25.8	3.449	36
1 1 1	28.7	3.115	39
3 1 -1	30.3	2.946	39
6 0 -2	32.6	2.743	47
3 1 1	33.1	2.706	100
3 1 -2	34.4	2.608	56
3 1 -3	41.1	2.197	61
3 1 3	47.3	1.920	46
9 1 -1	52.7	1.736	57
3 1 4	56.8	1.621	39

---

This entry pairs a crystal structure of U3CuO10 with its theoretical PXRD pattern. Radiation: copper Kα. Structure: a structure optimized by DFT (GGA-PBE).
Lines closer than 0.1° are merged.

Atomic structure:
```
data_U3CuO10
_cell_length_a 5.633
_cell_length_b 5.670
_cell_length_c 7.607
_cell_angle_alpha 71.08
_cell_angle_beta 69.65
_cell_angle_gamma 71.03
_space_group_name_H-M_alt 'P -1'
_space_group_IT_number 2
loop_
_space_group_symop_operation_xyz
'x,y,z'
'-x,-y,-z'
loop_
_atom_site_label
_atom_site_fract_x
_atom_site_fract_y
_atom_site_fract_z
U1 0.000 0.000 0.000
U2 0.453 0.542 0.270
Cu1 0.000 0.000 0.500
O1 0.082 0.921 0.251
O2 0.233 0.326 0.360
O3 0.296 0.690 0.965
O4 0.307 0.238 0.857
O5 0.314 0.701 0.535
```

Top 12 peaks for 10 to 90 degrees two-theta, in order of rising 2θ:
hkl	Position (°2θ)	d/Å	I_rel
0 1 1	18.7	4.740	25
1 1 0	21.2	4.189	100
1 0 2	26.9	3.317	53
1 -1 0	27.2	3.282	44
0 1 2	27.3	3.264	44
0 1 -2	34.3	2.611	20
0 2 0	34.4	2.604	17
2 1 2	34.7	2.587	36
2 0 0	35.0	2.565	31
2 2 0	43.2	2.095	22
1 2 -2	51.4	1.778	17
2 2 4	52.9	1.731	21

---

This entry pairs a crystal structure of ZrSiW4 with its theoretical PXRD pattern. Radiation: copper Kα. Structure: a structure optimized by DFT (GGA-PBE).
Lines closer than 0.1° are merged.

Atomic structure:
```
data_ZrSiW4
_cell_length_a 7.542
_cell_length_b 7.542
_cell_length_c 7.542
_cell_angle_alpha 90.00
_cell_angle_beta 90.00
_cell_angle_gamma 90.00
_space_group_name_H-M_alt 'F -4 3 m'
_space_group_IT_number 216
_space_group_name_Hall 'F -4 2 3'
loop_
_atom_site_label
_atom_site_fract_x
_atom_site_fract_y
_atom_site_fract_z
Zr1 0.000 0.000 0.000
Si1 0.250 0.250 0.750
W1 0.124 0.124 0.376
```

Top 12 peaks for 10 to 90 degrees two-theta, in order of rising 2θ:
hkl	Position (°2θ)	d/Å	I_rel
1 1 1	20.4	4.355	68
2 0 0	23.6	3.771	2
2 2 0	33.6	2.667	6
3 1 1	39.6	2.274	100
2 2 2	41.5	2.177	77
4 0 0	48.3	1.886	26
3 3 1	52.9	1.730	17
5 1 1	64.2	1.452	33
4 4 0	70.6	1.333	32
5 3 1	74.4	1.275	13
5 3 3	84.2	1.150	12
6 2 2	85.4	1.137	30